Structure and computed XRD peak list of Sm2Ho2CBr5 (the PBE geometry in OQMD; Cu Kα (λ = 1.5418 Å)).

Cell and atoms:
```
data_Sm2Ho2CBr5
_chemical_formula_sum 'Sm4 Ho4 C2 Br10'
_cell_length_a 17.8492
_cell_length_b 3.8147
_cell_length_c 8.1480
_cell_angle_alpha 90.00
_cell_angle_beta 103.38
_cell_angle_gamma 90.00
_space_group_name_H-M_alt 'C 1 2/m 1'
_space_group_IT_number 12
loop_
_space_group_symop_operation_xyz
'x,y,z'
'-x,-y,-z'
'-x,y,-z'
'x,-y,z'
'x+1/2,y+1/2,z'
'-x+1/2,-y+1/2,-z'
'-x+1/2,y+1/2,-z'
'x+1/2,-y+1/2,z'
loop_
_atom_site_label
_atom_site_type_symbol
_atom_site_fract_x
_atom_site_fract_y
_atom_site_fract_z
Sm1 Sm 0.1425 0.0000 0.0749
Ho1 Ho 0.0005 0.5000 0.8001
C1 C 0.0000 0.0000 0.0000
Br1 Br 0.0000 0.0000 0.5000
Br2 Br 0.1616 0.5000 0.3514
Br3 Br 0.1671 0.5000 0.8150
```

Largest 12 diffraction maxima, by angle, 2θ = 10–90°:
| 2θ/deg | I (rel.) |
| --- | --- |
| 10.2 | 30 |
| 11.2 | 44 |
| 28.8 | 22 |
| 30.9 | 50 |
| 31.6 | 27 |
| 32.1 | 100 |
| 35.4 | 19 |
| 37.8 | 18 |
| 45.1 | 29 |
| 45.2 | 31 |
| 47.7 | 19 |
| 57.9 | 17 |

Structure and computed XRD peak list of La2Sm2CI3Br2 (the PBE geometry in OQMD; Cu Kα (λ = 1.5418 Å)).

Cell and atoms:
```
data_La2Sm2CI3Br2
_chemical_formula_sum 'La4 Sm4 C2 I6 Br4'
_cell_length_a 19.0798
_cell_length_b 4.0452
_cell_length_c 8.7262
_cell_angle_alpha 90.00
_cell_angle_beta 103.41
_cell_angle_gamma 90.00
_space_group_name_H-M_alt 'C 1 2/m 1'
_space_group_IT_number 12
loop_
_space_group_symop_operation_xyz
'x,y,z'
'-x,-y,-z'
'-x,y,-z'
'x,-y,z'
'x+1/2,y+1/2,z'
'-x+1/2,-y+1/2,-z'
'-x+1/2,y+1/2,-z'
'x+1/2,-y+1/2,z'
loop_
_atom_site_label
_atom_site_type_symbol
_atom_site_fract_x
_atom_site_fract_y
_atom_site_fract_z
La1 La 0.1396 0.0000 0.0756
Sm1 Sm 0.9997 0.5000 0.1933
C1 C 0.0000 0.0000 0.0000
I1 I 0.0000 0.0000 0.5000
I2 I 0.1685 0.5000 0.8053
Br1 Br 0.1561 0.5000 0.3392
```

Largest 12 diffraction maxima, by angle, 2θ = 10–90°:
| 2θ/deg | I (rel.) |
| --- | --- |
| 10.4 | 29 |
| 27.1 | 20 |
| 28.9 | 50 |
| 29.6 | 20 |
| 30.1 | 100 |
| 31.6 | 16 |
| 32.6 | 19 |
| 33.0 | 19 |
| 35.2 | 16 |
| 42.2 | 58 |
| 44.8 | 20 |
| 54.2 | 17 |

Structure and computed XRD peak list of La2Sm2C2I2Br3 (the PBE geometry in OQMD; Cu Kα (λ = 1.5418 Å)).

Cell and atoms:
```
data_La2Sm2C2I2Br3
_chemical_formula_sum 'La4 Sm4 C4 I4 Br6'
_cell_length_a 20.1550
_cell_length_b 4.0184
_cell_length_c 8.4422
_cell_angle_alpha 90.00
_cell_angle_beta 103.39
_cell_angle_gamma 90.00
_space_group_name_H-M_alt 'C 1 2/m 1'
_space_group_IT_number 12
loop_
_space_group_symop_operation_xyz
'x,y,z'
'-x,-y,-z'
'-x,y,-z'
'x,-y,z'
'x+1/2,y+1/2,z'
'-x+1/2,-y+1/2,-z'
'-x+1/2,y+1/2,-z'
'x+1/2,-y+1/2,z'
loop_
_atom_site_label
_atom_site_type_symbol
_atom_site_fract_x
_atom_site_fract_y
_atom_site_fract_z
La1 La 0.0005 0.0000 0.2028
Sm1 Sm 0.1501 0.5000 0.0950
C1 C 0.0358 0.5000 0.0214
I1 I 0.1698 0.0000 0.8203
Br1 Br 0.0000 0.5000 0.5000
Br2 Br 0.1590 0.0000 0.3517
```

Largest 12 diffraction maxima, by angle, 2θ = 10–90°:
| 2θ/deg | I (rel.) |
| --- | --- |
| 10.8 | 40 |
| 27.0 | 16 |
| 27.3 | 62 |
| 29.5 | 15 |
| 30.7 | 100 |
| 31.9 | 13 |
| 31.9 | 15 |
| 41.2 | 31 |
| 41.9 | 38 |
| 42.9 | 13 |
| 45.1 | 18 |
| 53.5 | 19 |

Structure and computed XRD peak list of La2Sm2C2IBr4 (the PBE geometry in OQMD; Cu Kα (λ = 1.5418 Å)).

Cell and atoms:
```
data_La2Sm2C2IBr4
_chemical_formula_sum 'La4 Sm4 C4 I2 Br8'
_cell_length_a 19.4685
_cell_length_b 4.0145
_cell_length_c 8.7477
_cell_angle_alpha 90.00
_cell_angle_beta 104.56
_cell_angle_gamma 90.00
_space_group_name_H-M_alt 'C 1 2/m 1'
_space_group_IT_number 12
loop_
_space_group_symop_operation_xyz
'x,y,z'
'-x,-y,-z'
'-x,y,-z'
'x,-y,z'
'x+1/2,y+1/2,z'
'-x+1/2,-y+1/2,-z'
'-x+1/2,y+1/2,-z'
'x+1/2,-y+1/2,z'
loop_
_atom_site_label
_atom_site_type_symbol
_atom_site_fract_x
_atom_site_fract_y
_atom_site_fract_z
La1 La 0.9996 0.0000 0.1931
Sm1 Sm 0.1558 0.5000 0.0961
C1 C 0.0373 0.5000 0.0227
I1 I 0.0000 0.5000 0.5000
Br1 Br 0.1646 0.0000 0.3449
Br2 Br 0.1702 0.0000 0.8514
```

Largest 12 diffraction maxima, by angle, 2θ = 10–90°:
| 2θ/deg | I (rel.) |
| --- | --- |
| 10.4 | 38 |
| 15.7 | 19 |
| 19.1 | 14 |
| 27.0 | 24 |
| 28.4 | 63 |
| 29.7 | 24 |
| 30.2 | 100 |
| 32.6 | 16 |
| 41.6 | 36 |
| 42.4 | 39 |
| 45.2 | 21 |
| 54.2 | 21 |

Structure and computed XRD peak list of Nd4C2I2Br3 (the PBE geometry in OQMD; Cu Kα (λ = 1.5418 Å)).

Cell and atoms:
```
data_Nd4C2I2Br3
_chemical_formula_sum 'Nd8 C4 I4 Br6'
_cell_length_a 19.7630
_cell_length_b 3.9829
_cell_length_c 8.4339
_cell_angle_alpha 90.00
_cell_angle_beta 103.78
_cell_angle_gamma 90.00
_space_group_name_H-M_alt 'C 1 2/m 1'
_space_group_IT_number 12
loop_
_space_group_symop_operation_xyz
'x,y,z'
'-x,-y,-z'
'-x,y,-z'
'x,-y,z'
'x+1/2,y+1/2,z'
'-x+1/2,-y+1/2,-z'
'-x+1/2,y+1/2,-z'
'x+1/2,-y+1/2,z'
loop_
_atom_site_label
_atom_site_type_symbol
_atom_site_fract_x
_atom_site_fract_y
_atom_site_fract_z
Nd1 Nd 0.0020 0.0000 0.3008
Nd2 Nd 0.1546 0.5000 0.5918
C1 C 0.0364 0.5000 0.5214
I1 I 0.1623 0.0000 0.8820
Br1 Br 0.0000 0.5000 0.0000
Br2 Br 0.1679 0.0000 0.3339
```

Largest 12 diffraction maxima, by angle, 2θ = 10–90°:
| 2θ/deg | I (rel.) |
| --- | --- |
| 10.8 | 18 |
| 27.2 | 30 |
| 27.9 | 73 |
| 29.8 | 31 |
| 30.9 | 100 |
| 32.4 | 18 |
| 33.7 | 16 |
| 36.3 | 17 |
| 41.7 | 37 |
| 42.5 | 40 |
| 45.6 | 21 |
| 54.3 | 22 |

Structure and computed XRD peak list of Nd4C2I3Br2 (the PBE geometry in OQMD; Cu Kα (λ = 1.5418 Å)).

Cell and atoms:
```
data_Nd4C2I3Br2
_chemical_formula_sum 'Nd8 C4 I6 Br4'
_cell_length_a 19.7732
_cell_length_b 4.0296
_cell_length_c 8.7057
_cell_angle_alpha 90.00
_cell_angle_beta 104.37
_cell_angle_gamma 90.00
_space_group_name_H-M_alt 'C 1 2/m 1'
_space_group_IT_number 12
loop_
_space_group_symop_operation_xyz
'x,y,z'
'-x,-y,-z'
'-x,y,-z'
'x,-y,z'
'x+1/2,y+1/2,z'
'-x+1/2,-y+1/2,-z'
'-x+1/2,y+1/2,-z'
'x+1/2,-y+1/2,z'
loop_
_atom_site_label
_atom_site_type_symbol
_atom_site_fract_x
_atom_site_fract_y
_atom_site_fract_z
Nd1 Nd 0.0018 0.0000 0.3093
Nd2 Nd 0.1551 0.5000 0.5914
C1 C 0.0365 0.5000 0.5216
I1 I 0.0000 0.5000 0.0000
I2 I 0.1633 0.0000 0.8723
Br1 Br 0.1677 0.0000 0.3415
```

Largest 12 diffraction maxima, by angle, 2θ = 10–90°:
| 2θ/deg | I (rel.) |
| --- | --- |
| 10.5 | 15 |
| 15.6 | 13 |
| 26.9 | 32 |
| 27.9 | 69 |
| 29.5 | 32 |
| 30.2 | 100 |
| 32.7 | 17 |
| 35.4 | 20 |
| 41.2 | 37 |
| 42.1 | 38 |
| 45.0 | 20 |
| 53.8 | 22 |

Structure and computed XRD peak list of Pr2Nd2CI3Br2 (the PBE geometry in OQMD; Cu Kα (λ = 1.5418 Å)).

Cell and atoms:
```
data_Pr2Nd2CI3Br2
_chemical_formula_sum 'Pr4 Nd4 C2 I6 Br4'
_cell_length_a 18.7568
_cell_length_b 4.0781
_cell_length_c 8.9311
_cell_angle_alpha 90.00
_cell_angle_beta 102.64
_cell_angle_gamma 90.00
_space_group_name_H-M_alt 'C 1 2/m 1'
_space_group_IT_number 12
loop_
_space_group_symop_operation_xyz
'x,y,z'
'-x,-y,-z'
'-x,y,-z'
'x,-y,z'
'x+1/2,y+1/2,z'
'-x+1/2,-y+1/2,-z'
'-x+1/2,y+1/2,-z'
'x+1/2,-y+1/2,z'
loop_
_atom_site_label
_atom_site_type_symbol
_atom_site_fract_x
_atom_site_fract_y
_atom_site_fract_z
Pr1 Pr 0.0022 0.0000 0.3049
Nd1 Nd 0.1378 0.5000 0.5653
C1 C 0.0000 0.5000 0.5000
I1 I 0.0000 0.5000 0.0000
I2 I 0.1698 0.0000 0.8402
Br1 Br 0.1701 0.0000 0.3408
```

Largest 12 diffraction maxima, by angle, 2θ = 10–90°:
| 2θ/deg | I (rel.) |
| --- | --- |
| 10.2 | 21 |
| 19.8 | 16 |
| 27.0 | 19 |
| 29.3 | 43 |
| 29.4 | 28 |
| 29.7 | 100 |
| 32.9 | 23 |
| 40.4 | 15 |
| 41.9 | 26 |
| 42.5 | 29 |
| 44.4 | 18 |
| 54.1 | 15 |

Structure and computed XRD peak list of Pr2Nd2CI3Br2 (the PBE geometry in OQMD; Cu Kα (λ = 1.5418 Å)).

Cell and atoms:
```
data_Pr2Nd2CI3Br2
_chemical_formula_sum 'Pr4 Nd4 C2 I6 Br4'
_cell_length_a 18.7823
_cell_length_b 4.0749
_cell_length_c 8.8598
_cell_angle_alpha 90.00
_cell_angle_beta 102.82
_cell_angle_gamma 90.00
_space_group_name_H-M_alt 'C 1 2/m 1'
_space_group_IT_number 12
loop_
_space_group_symop_operation_xyz
'x,y,z'
'-x,-y,-z'
'-x,y,-z'
'x,-y,z'
'x+1/2,y+1/2,z'
'-x+1/2,-y+1/2,-z'
'-x+1/2,y+1/2,-z'
'x+1/2,-y+1/2,z'
loop_
_atom_site_label
_atom_site_type_symbol
_atom_site_fract_x
_atom_site_fract_y
_atom_site_fract_z
Pr1 Pr 0.1392 0.0000 0.0662
Nd1 Nd 0.0019 0.5000 0.8053
C1 C 0.0000 0.0000 0.0000
I1 I 0.0000 0.0000 0.5000
I2 I 0.1687 0.5000 0.3471
Br1 Br 0.1688 0.5000 0.8333
```

Largest 12 diffraction maxima, by angle, 2θ = 10–90°:
| 2θ/deg | I (rel.) |
| --- | --- |
| 10.2 | 18 |
| 27.1 | 21 |
| 29.3 | 45 |
| 29.5 | 30 |
| 29.8 | 100 |
| 32.9 | 36 |
| 34.7 | 17 |
| 40.7 | 15 |
| 42.0 | 27 |
| 42.5 | 30 |
| 44.5 | 19 |
| 54.1 | 16 |

Structure and computed XRD peak list of Pr2Nd2CIBr4 (the PBE geometry in OQMD; Cu Kα (λ = 1.5418 Å)).

Cell and atoms:
```
data_Pr2Nd2CIBr4
_chemical_formula_sum 'Pr4 Nd4 C2 I2 Br8'
_cell_length_a 18.4670
_cell_length_b 4.0231
_cell_length_c 8.7947
_cell_angle_alpha 90.00
_cell_angle_beta 103.64
_cell_angle_gamma 90.00
_space_group_name_H-M_alt 'C 1 2/m 1'
_space_group_IT_number 12
loop_
_space_group_symop_operation_xyz
'x,y,z'
'-x,-y,-z'
'-x,y,-z'
'x,-y,z'
'x+1/2,y+1/2,z'
'-x+1/2,-y+1/2,-z'
'-x+1/2,y+1/2,-z'
'x+1/2,-y+1/2,z'
loop_
_atom_site_label
_atom_site_type_symbol
_atom_site_fract_x
_atom_site_fract_y
_atom_site_fract_z
Pr1 Pr 0.1417 0.0000 0.0735
Nd1 Nd 0.0011 0.5000 0.8038
C1 C 0.0000 0.0000 0.0000
I1 I 0.0000 0.0000 0.5000
Br1 Br 0.1638 0.5000 0.3315
Br2 Br 0.1699 0.5000 0.8349
```

Largest 12 diffraction maxima, by angle, 2θ = 10–90°:
| 2θ/deg | I (rel.) |
| --- | --- |
| 10.4 | 36 |
| 27.4 | 20 |
| 29.9 | 45 |
| 30.0 | 24 |
| 30.1 | 100 |
| 33.2 | 12 |
| 35.2 | 13 |
| 38.1 | 17 |
| 41.1 | 15 |
| 42.9 | 58 |
| 45.1 | 18 |
| 55.0 | 16 |

Structure and computed XRD peak list of Nd2Sc2CI2Br3 (the PBE geometry in OQMD; Cu Kα (λ = 1.5418 Å)).

Cell and atoms:
```
data_Nd2Sc2CI2Br3
_chemical_formula_sum 'Nd4 Sc4 C2 I4 Br6'
_cell_length_a 18.2657
_cell_length_b 3.8453
_cell_length_c 8.2066
_cell_angle_alpha 90.00
_cell_angle_beta 102.90
_cell_angle_gamma 90.00
_space_group_name_H-M_alt 'C 1 2/m 1'
_space_group_IT_number 12
loop_
_space_group_symop_operation_xyz
'x,y,z'
'-x,-y,-z'
'-x,y,-z'
'x,-y,z'
'x+1/2,y+1/2,z'
'-x+1/2,-y+1/2,-z'
'-x+1/2,y+1/2,-z'
'x+1/2,-y+1/2,z'
loop_
_atom_site_label
_atom_site_type_symbol
_atom_site_fract_x
_atom_site_fract_y
_atom_site_fract_z
Nd1 Nd 0.1381 0.0000 0.0679
Sc1 Sc 0.0011 0.5000 0.8159
C1 C 0.0000 0.0000 0.0000
I1 I 0.1590 0.5000 0.3683
Br1 Br 0.0000 0.0000 0.5000
Br2 Br 0.1577 0.5000 0.8082
```

Largest 12 diffraction maxima, by angle, 2θ = 10–90°:
| 2θ/deg | I (rel.) |
| --- | --- |
| 19.9 | 31 |
| 20.6 | 17 |
| 28.5 | 29 |
| 30.1 | 44 |
| 31.1 | 40 |
| 31.9 | 100 |
| 35.2 | 16 |
| 37.3 | 22 |
| 37.9 | 27 |
| 44.4 | 49 |
| 47.3 | 19 |
| 61.7 | 17 |

Structure and computed XRD peak list of Nd2Sc2CIBr4 (the PBE geometry in OQMD; Cu Kα (λ = 1.5418 Å)).

Cell and atoms:
```
data_Nd2Sc2CIBr4
_chemical_formula_sum 'Nd4 Sc4 C2 I2 Br8'
_cell_length_a 17.7588
_cell_length_b 3.8105
_cell_length_c 8.2023
_cell_angle_alpha 90.00
_cell_angle_beta 104.49
_cell_angle_gamma 90.00
_space_group_name_H-M_alt 'C 1 2/m 1'
_space_group_IT_number 12
loop_
_space_group_symop_operation_xyz
'x,y,z'
'-x,-y,-z'
'-x,y,-z'
'x,-y,z'
'x+1/2,y+1/2,z'
'-x+1/2,-y+1/2,-z'
'-x+1/2,y+1/2,-z'
'x+1/2,-y+1/2,z'
loop_
_atom_site_label
_atom_site_type_symbol
_atom_site_fract_x
_atom_site_fract_y
_atom_site_fract_z
Nd1 Nd 0.1439 0.0000 0.0788
Sc1 Sc 0.0000 0.5000 0.1824
C1 C 0.0000 0.0000 0.0000
I1 I 0.0000 0.0000 0.5000
Br1 Br 0.1567 0.5000 0.3543
Br2 Br 0.1635 0.5000 0.8146
```

Largest 12 diffraction maxima, by angle, 2θ = 10–90°:
| 2θ/deg | I (rel.) |
| --- | --- |
| 11.1 | 20 |
| 17.0 | 22 |
| 20.9 | 20 |
| 28.8 | 29 |
| 31.2 | 45 |
| 31.8 | 33 |
| 32.1 | 100 |
| 34.9 | 15 |
| 38.0 | 17 |
| 45.0 | 25 |
| 45.7 | 30 |
| 47.7 | 19 |

Structure and computed XRD peak list of Nd2Sm2CIBr4 (the PBE geometry in OQMD; Cu Kα (λ = 1.5418 Å)).

Cell and atoms:
```
data_Nd2Sm2CIBr4
_chemical_formula_sum 'Nd4 Sm4 C2 I2 Br8'
_cell_length_a 18.2656
_cell_length_b 3.9696
_cell_length_c 8.6751
_cell_angle_alpha 90.00
_cell_angle_beta 103.55
_cell_angle_gamma 90.00
_space_group_name_H-M_alt 'C 1 2/m 1'
_space_group_IT_number 12
loop_
_space_group_symop_operation_xyz
'x,y,z'
'-x,-y,-z'
'-x,y,-z'
'x,-y,z'
'x+1/2,y+1/2,z'
'-x+1/2,-y+1/2,-z'
'-x+1/2,y+1/2,-z'
'x+1/2,-y+1/2,z'
loop_
_atom_site_label
_atom_site_type_symbol
_atom_site_fract_x
_atom_site_fract_y
_atom_site_fract_z
Nd1 Nd 0.1415 0.0000 0.0731
Sm1 Sm 0.0010 0.5000 0.8056
C1 C 0.0000 0.0000 0.0000
I1 I 0.0000 0.0000 0.5000
Br1 Br 0.1629 0.5000 0.3330
Br2 Br 0.1690 0.5000 0.8318
```

Largest 12 diffraction maxima, by angle, 2θ = 10–90°:
| 2θ/deg | I (rel.) |
| --- | --- |
| 10.5 | 37 |
| 27.7 | 21 |
| 30.2 | 46 |
| 30.4 | 26 |
| 30.5 | 100 |
| 33.7 | 13 |
| 35.7 | 15 |
| 38.6 | 17 |
| 41.6 | 14 |
| 43.5 | 57 |
| 45.7 | 19 |
| 55.8 | 16 |

Structure and computed XRD peak list of Nd2Sm2C2IBr4 (the PBE geometry in OQMD; Cu Kα (λ = 1.5418 Å)).

Cell and atoms:
```
data_Nd2Sm2C2IBr4
_chemical_formula_sum 'Nd4 Sm4 C4 I2 Br8'
_cell_length_a 19.3724
_cell_length_b 3.9622
_cell_length_c 8.6120
_cell_angle_alpha 90.00
_cell_angle_beta 104.64
_cell_angle_gamma 90.00
_space_group_name_H-M_alt 'C 1 2/m 1'
_space_group_IT_number 12
loop_
_space_group_symop_operation_xyz
'x,y,z'
'-x,-y,-z'
'-x,y,-z'
'x,-y,z'
'x+1/2,y+1/2,z'
'-x+1/2,-y+1/2,-z'
'-x+1/2,y+1/2,-z'
'x+1/2,-y+1/2,z'
loop_
_atom_site_label
_atom_site_type_symbol
_atom_site_fract_x
_atom_site_fract_y
_atom_site_fract_z
Nd1 Nd 0.0000 0.0000 0.1924
Sm1 Sm 0.1560 0.5000 0.0972
C1 C 0.0375 0.5000 0.0226
I1 I 0.0000 0.5000 0.5000
Br1 Br 0.1630 0.0000 0.3504
Br2 Br 0.1692 0.0000 0.8468
```

Largest 12 diffraction maxima, by angle, 2θ = 10–90°:
| 2θ/deg | I (rel.) |
| --- | --- |
| 10.6 | 37 |
| 15.9 | 18 |
| 27.3 | 26 |
| 28.6 | 66 |
| 30.1 | 25 |
| 30.7 | 100 |
| 33.1 | 16 |
| 36.0 | 13 |
| 41.9 | 49 |
| 42.9 | 39 |
| 45.8 | 22 |
| 54.9 | 21 |

Structure and computed XRD peak list of Nd2Sm2CI4Br (the PBE geometry in OQMD; Cu Kα (λ = 1.5418 Å)).

Cell and atoms:
```
data_Nd2Sm2CI4Br
_chemical_formula_sum 'Nd4 Sm4 C2 I8 Br2'
_cell_length_a 19.3900
_cell_length_b 4.0442
_cell_length_c 8.5838
_cell_angle_alpha 90.00
_cell_angle_beta 102.27
_cell_angle_gamma 90.00
_space_group_name_H-M_alt 'C 1 2/m 1'
_space_group_IT_number 12
loop_
_space_group_symop_operation_xyz
'x,y,z'
'-x,-y,-z'
'-x,y,-z'
'x,-y,z'
'x+1/2,y+1/2,z'
'-x+1/2,-y+1/2,-z'
'-x+1/2,y+1/2,-z'
'x+1/2,-y+1/2,z'
loop_
_atom_site_label
_atom_site_type_symbol
_atom_site_fract_x
_atom_site_fract_y
_atom_site_fract_z
Nd1 Nd 0.0011 0.0000 0.2971
Sm1 Sm 0.1312 0.5000 0.5658
C1 C 0.0000 0.5000 0.5000
I1 I 0.1651 0.0000 0.8474
I2 I 0.1708 0.0000 0.3185
Br1 Br 0.0000 0.5000 0.0000
```

Largest 12 diffraction maxima, by angle, 2θ = 10–90°:
| 2θ/deg | I (rel.) |
| --- | --- |
| 10.5 | 28 |
| 27.1 | 13 |
| 28.3 | 43 |
| 29.4 | 19 |
| 30.4 | 100 |
| 31.3 | 12 |
| 32.4 | 28 |
| 35.3 | 12 |
| 41.8 | 27 |
| 42.1 | 40 |
| 44.8 | 19 |
| 53.8 | 17 |